Al7Ag: simulated powder diffraction line list (Cu Kα (λ = 1.5418 Å)), based on a cell relaxed with PBE.
Peak positions follow from Bragg's law for the DFT cell and can differ from measured ones.

Top 10 peaks for 10 to 90 degrees two-theta, low angle first:
- 2θ 11.0, 8.074 Å, I = 35
- 2θ 21.9, 4.065 Å, I = 17
- 2θ 24.5, 3.631 Å, I = 26
- 2θ 31.2, 2.865 Å, I = 14
- 2θ 33.1, 2.708 Å, I = 13
- 2θ 38.4, 2.342 Å, I = 100
- 2θ 44.6, 2.033 Å, I = 32
- 2θ 44.9, 2.019 Å, I = 16
- 2θ 65.1, 1.432 Å, I = 20
- 2θ 78.0, 1.225 Å, I = 24

```
Al7Ag
1.0
4.0652 0.0000 0.0000
0.0000 4.0652 0.0000
0.0000 0.0000 8.0740
Al Ag
7 1
Cartesian
0.0000 0.0000 0.0000
0.0000 0.0000 4.0370
0.0000 2.0326 1.9815
0.0000 2.0326 6.0925
2.0326 0.0000 1.9815
2.0326 0.0000 6.0925
2.0326 2.0326 0.0000
2.0326 2.0326 4.0370
```

=====

Li6Ga2Sn3: simulated powder diffraction line list (Cu Kα (λ = 1.5418 Å)), based on a cell relaxed with PBE.
Peak positions follow from Bragg's law for the DFT cell and can differ from measured ones.

Top 10 peaks for 10 to 90 degrees two-theta, low angle first:
- 2θ 22.7, 3.922 Å, I = 36
- 2θ 26.4, 3.377 Å, I = 100
- 2θ 28.6, 3.121 Å, I = 54
- 2θ 35.8, 2.507 Å, I = 45
- 2θ 37.3, 2.408 Å, I = 29
- 2θ 37.7, 2.388 Å, I = 46
- 2θ 48.0, 1.897 Å, I = 27
- 2θ 53.0, 1.729 Å, I = 30
- 2θ 54.3, 1.689 Å, I = 16
- 2θ 61.4, 1.510 Å, I = 19

```
Li6Ga2Sn3
1.0
-2.3882 2.3882 10.3063
2.3882 -2.3882 10.3063
2.3882 2.3882 -10.3063
Li Ga Sn
6 2 3
Cartesian
2.3882 0.0000 2.0210
0.0000 0.0000 3.9439
2.3882 0.0000 8.2853
0.0000 2.3882 2.0210
0.0000 0.0000 16.6687
0.0000 2.3882 8.2853
0.0000 0.0000 1.2173
0.0000 0.0000 19.3953
0.0000 0.0000 6.8261
0.0000 0.0000 10.3063
0.0000 0.0000 13.7866
```

=====

TaBeMo: simulated powder diffraction line list (Cu Kα (λ = 1.5418 Å)), based on a cell relaxed with PBE.
Peak positions follow from Bragg's law for the DFT cell and can differ from measured ones.

Top 10 peaks for 10 to 90 degrees two-theta, low angle first:
- 2θ 19.4, 4.577 Å, I = 18
- 2θ 27.8, 3.207 Å, I = 34
- 2θ 29.4, 3.041 Å, I = 32
- 2θ 34.6, 2.590 Å, I = 64
- 2θ 36.7, 2.448 Å, I = 34
- 2θ 39.4, 2.288 Å, I = 100
- 2θ 39.9, 2.261 Å, I = 82
- 2θ 46.0, 1.974 Å, I = 19
- 2θ 55.7, 1.649 Å, I = 18
- 2θ 67.3, 1.391 Å, I = 18

```
TaBeMo
1.0
9.3465 0.0000 0.0000
0.0000 3.2984 0.0000
-3.5449 0.0000 5.4730
Ta Be Mo
4 4 4
Cartesian
-0.3581 0.0000 1.8077
1.4864 1.6492 3.6653
4.3151 1.6492 1.8077
6.1597 0.0000 3.6653
-1.1736 1.6492 3.5534
2.3019 0.0000 1.9196
3.4996 0.0000 3.5534
6.9751 1.6492 1.9196
1.4299 1.6492 0.4345
-0.3016 0.0000 5.0385
6.1032 0.0000 0.4345
4.3716 1.6492 5.0385
```

=====

Rb3TlCd4: simulated powder diffraction line list (Cu Kα (λ = 1.5418 Å)), based on a cell relaxed with PBE.
Peak positions follow from Bragg's law for the DFT cell and can differ from measured ones.

Top 10 peaks for 10 to 90 degrees two-theta, low angle first:
- 2θ 13.6, 6.535 Å, I = 67
- 2θ 15.2, 5.836 Å, I = 34
- 2θ 26.2, 3.401 Å, I = 52
- 2θ 27.3, 3.267 Å, I = 33
- 2θ 27.4, 3.253 Å, I = 100
- 2θ 29.9, 2.984 Å, I = 58
- 2θ 34.9, 2.568 Å, I = 46
- 2θ 35.2, 2.550 Å, I = 33
- 2θ 37.0, 2.430 Å, I = 39
- 2θ 38.5, 2.340 Å, I = 45

```
Rb3TlCd4
1.0
6.7084 0.0000 0.0000
0.0000 7.8376 0.0000
0.0000 0.0000 11.8356
Rb Tl Cd
6 2 8
Cartesian
0.0000 0.0000 0.0000
0.0000 1.9272 4.0043
0.0000 5.9103 4.0043
3.3542 1.9915 9.9221
3.3542 3.9188 5.9178
3.3542 5.8460 9.9221
0.0000 3.9188 10.4887
3.3542 0.0000 4.5709
0.0000 2.3936 7.8388
0.0000 5.4440 7.8388
1.6571 0.0000 7.0663
1.6971 3.9188 1.1485
3.3542 1.5252 1.9210
3.3542 6.3124 1.9210
5.0113 3.9188 1.1485
5.0513 0.0000 7.0663
```

=====

CaTaP4: simulated powder diffraction line list (Cu Kα (λ = 1.5418 Å)), based on a cell relaxed with PBE.
Peak positions follow from Bragg's law for the DFT cell and can differ from measured ones.

Top 10 peaks for 10 to 90 degrees two-theta, low angle first:
- 2θ 20.9, 4.248 Å, I = 59
- 2θ 24.2, 3.679 Å, I = 29
- 2θ 34.5, 2.602 Å, I = 69
- 2θ 40.7, 2.219 Å, I = 100
- 2θ 42.6, 2.124 Å, I = 17
- 2θ 54.3, 1.688 Å, I = 14
- 2θ 55.9, 1.645 Å, I = 15
- 2θ 61.8, 1.502 Å, I = 25
- 2θ 66.0, 1.416 Å, I = 31
- 2θ 72.7, 1.301 Å, I = 18

```
CaTaP4
1.0
0.0000 3.6791 3.6791
3.6791 0.0000 3.6791
3.6791 3.6791 0.0000
Ca Ta P
1 1 4
Cartesian
0.0000 0.0000 0.0000
1.8395 1.8395 1.8395
4.5753 2.7829 2.7829
2.7829 4.5753 2.7829
2.7829 2.7829 4.5753
4.5753 4.5753 4.5753
```

=====

K2Pa2Te7: simulated powder diffraction line list (Cu Kα (λ = 1.5418 Å)), based on a cell relaxed with PBE.
Peak positions follow from Bragg's law for the DFT cell and can differ from measured ones.

Top 10 peaks for 10 to 90 degrees two-theta, low angle first:
- 2θ 16.5, 5.384 Å, I = 24
- 2θ 19.3, 4.601 Å, I = 26
- 2θ 21.5, 4.142 Å, I = 47
- 2θ 27.7, 3.219 Å, I = 35
- 2θ 32.4, 2.763 Å, I = 100
- 2θ 33.3, 2.692 Å, I = 35
- 2θ 33.5, 2.673 Å, I = 24
- 2θ 38.4, 2.343 Å, I = 26
- 2θ 39.8, 2.266 Å, I = 28
- 2θ 40.7, 2.215 Å, I = 27

```
K2Pa2Te7
1.0
4.6858 -5.3844 0.0000
4.6858 5.3844 0.0000
0.0000 0.0000 8.8571
K Pa Te
2 2 7
Cartesian
2.2039 0.0000 0.0000
7.1677 0.0000 0.0000
4.6858 2.4314 4.4286
4.6858 -2.4314 4.4286
0.0000 0.0000 4.4286
2.3429 2.6922 2.4458
2.3429 2.6922 6.4113
2.3429 -2.6922 2.4458
2.3429 -2.6922 6.4113
4.6858 0.0000 2.5195
4.6858 0.0000 6.3377
```